Record 1
Structure and computed powder diffraction line list of Cd2AsO5 (a crystal structure in Alexandria, relaxed with PBE; Cu Ka).
Kinematic intensities with the Lorentz-polarization factor, no thermal factor.

Top 10 peaks for 2θ = 10–80°, in order of rising 2θ:
Position (°2θ), I (rel.)
16.0, 31
23.7, 95
30.8, 100
32.3, 24
33.0, 50
35.6, 58
42.0, 22
45.4, 28
54.5, 44
55.9, 36

Structure:
```
Cd2AsO5
1.0
1.9971 -5.5492 0.0000
1.9971 5.5492 0.0000
0.0000 0.0000 10.1973
Cd As O
4 2 10
Cartesian
1.9971 3.9844 5.8890 Cd
1.9971 3.9844 9.4070 Cd
1.9971 -3.9844 0.7903 Cd
1.9971 -3.9844 4.3084 Cd
1.9971 3.6950 2.5493 As
1.9971 -3.6950 7.6480 As
1.9971 4.9333 1.2592 O
1.9971 4.9333 3.8395 O
1.9971 2.4092 1.2054 O
1.9971 2.4092 3.8933 O
1.9971 2.1921 7.6480 O
1.9971 -2.1921 2.5493 O
1.9971 -2.4092 6.3041 O
1.9971 -2.4092 8.9919 O
1.9971 -4.9333 6.3578 O
1.9971 -4.9333 8.9382 O
```

***

Record 2
Structure and computed powder diffraction line list of YSc3In (a crystal structure in Alexandria, relaxed with PBE; Cu Ka).
Kinematic intensities with the Lorentz-polarization factor, no thermal factor.

Top 10 peaks for 2θ = 10–80°, in order of rising 2θ:
Position (°2θ), I (rel.)
23.1, 37
24.9, 30
32.1, 66
34.2, 100
35.3, 41
42.6, 14
47.3, 18
60.3, 17
62.7, 16
69.8, 20

Structure:
```
YSc3In
1.0
5.0879 0.0000 0.0000
0.0000 7.6979 0.0000
0.0000 0.0000 6.6552
Y Sc In
2 6 2
Cartesian
1.2720 1.9245 1.3981 Y
3.8159 5.7734 5.2571 Y
1.2720 0.4607 4.8834 Sc
1.2720 3.3882 4.8834 Sc
1.2720 5.7734 0.3959 Sc
3.8159 1.9245 6.2593 Sc
3.8159 4.3097 1.7718 Sc
3.8159 7.2372 1.7718 Sc
1.2720 5.7734 3.1786 In
3.8159 1.9245 3.4765 In
```

***

Record 3
Structure and computed powder diffraction line list of Ba3Ga9Pt2 (a crystal structure in Alexandria, relaxed with PBE; Cu Ka).
Kinematic intensities with the Lorentz-polarization factor, no thermal factor.

Top 10 peaks for 2θ = 10–80°, in order of rising 2θ:
Position (°2θ), I (rel.)
15.3, 25
26.3, 38
30.7, 45
30.9, 32
31.2, 37
33.0, 100
33.8, 31
40.7, 89
43.7, 38
56.3, 33

Structure:
```
Ba3Ga9Pt2
1.0
-2.2139 5.7893 6.4105
2.2139 -5.7893 6.4105
2.2139 5.7893 -6.4105
Ba Ga Pt
3 9 2
Cartesian
0.0000 0.0000 0.0000 Ba
0.0000 0.0000 3.9267 Ba
0.0000 0.0000 8.8943 Ba
2.2139 -1.9749 2.2779 Ga
2.2139 -2.4004 4.9740 Ga
2.2139 1.9749 2.2779 Ga
0.0000 3.3889 1.4364 Ga
0.0000 5.7893 0.0000 Ga
2.2139 2.4004 4.9740 Ga
0.0000 3.8145 4.1325 Ga
0.0000 8.1897 1.4364 Ga
0.0000 7.7642 4.1325 Ga
2.2139 3.1533 0.0000 Pt
0.0000 2.6361 6.4105 Pt
```

***

Record 4
Structure and computed powder diffraction line list of Ca5ScAg6 (a crystal structure in Alexandria, relaxed with PBE; Cu Ka).
Kinematic intensities with the Lorentz-polarization factor, no thermal factor.

Top 10 peaks for 2θ = 10–80°, in order of rising 2θ:
Position (°2θ), I (rel.)
24.2, 10
24.4, 20
34.6, 100
34.9, 21
49.6, 6
49.9, 13
61.9, 17
62.1, 6
62.4, 13
73.0, 7

Structure:
```
Ca5ScAg6
1.0
2.5716 -7.7944 0.0000
2.5716 7.7944 0.0000
0.0000 0.0000 7.3479
Ca Sc Ag
5 1 6
Cartesian
0.0000 0.0000 0.0000 Ca
2.5716 2.6209 3.6740 Ca
2.5716 2.6073 0.0000 Ca
2.5716 -2.6073 0.0000 Ca
2.5716 -2.6209 3.6740 Ca
0.0000 0.0000 3.6740 Sc
2.5716 5.3670 1.9283 Ag
2.5716 5.3670 5.4196 Ag
2.5716 0.0000 2.0388 Ag
2.5716 0.0000 5.3091 Ag
2.5716 -5.3670 1.9283 Ag
2.5716 -5.3670 5.4196 Ag
```

***

Record 5
Structure and computed powder diffraction line list of CaCoP2Os (a crystal structure in Alexandria, relaxed with PBE; Cu Ka).
Kinematic intensities with the Lorentz-polarization factor, no thermal factor.

Top 10 peaks for 2θ = 10–80°, in order of rising 2θ:
Position (°2θ), I (rel.)
16.1, 100
24.4, 48
32.5, 21
33.7, 35
36.7, 88
46.8, 39
47.0, 34
50.0, 22
58.3, 16
60.7, 26

Structure:
```
CaCoP2Os
1.0
3.8664 0.0000 0.0000
0.0000 3.8664 0.0000
0.0000 0.0000 11.0209
Ca Co P Os
2 2 4 2
Cartesian
0.0000 0.0000 0.0000 Ca
1.9332 1.9332 5.5104 Ca
0.0000 1.9332 2.7552 Co
1.9332 0.0000 8.2656 Co
0.0000 0.0000 3.9810 P
0.0000 0.0000 7.0398 P
1.9332 1.9332 1.5294 P
1.9332 1.9332 9.4915 P
0.0000 1.9332 8.2656 Os
1.9332 0.0000 2.7552 Os
```

***

Record 6
Structure and computed powder diffraction line list of LiCdMo2 (a crystal structure in Alexandria, relaxed with PBE; Cu Ka).
Kinematic intensities with the Lorentz-polarization factor, no thermal factor.

Top 10 peaks for 2θ = 10–80°, in order of rising 2θ:
Position (°2θ), I (rel.)
18.7, 10
24.3, 20
27.9, 18
36.3, 11
37.9, 28
39.7, 100
45.6, 17
53.9, 10
60.8, 14
69.7, 18

Structure:
```
LiCdMo2
1.0
10.2869 0.0000 0.0000
0.0000 3.4011 0.0000
-1.5336 0.0000 3.6694
Li Cd Mo
2 2 4
Cartesian
0.0000 0.0000 0.0000 Li
5.1434 1.7005 0.0000 Li
-0.7668 1.7005 1.8347 Cd
4.3767 0.0000 1.8347 Cd
2.1424 1.7005 0.8919 Mo
1.4674 0.0000 2.7774 Mo
7.2859 0.0000 0.8919 Mo
6.6109 1.7005 2.7774 Mo
```

***

Record 7
Structure and computed powder diffraction line list of ScTaCd2 (a crystal structure in Alexandria, relaxed with PBE; Cu Ka).
Kinematic intensities with the Lorentz-polarization factor, no thermal factor.

Top 10 peaks for 2θ = 10–80°, in order of rising 2θ:
Position (°2θ), I (rel.)
14.1, 21
21.1, 16
35.6, 100
35.9, 98
40.8, 68
42.9, 30
60.7, 41
70.7, 25
71.4, 25
73.8, 11

Structure:
```
ScTaCd2
1.0
3.1022 0.0000 0.0000
0.0000 4.2184 0.0000
0.0000 0.0000 6.2992
Sc Ta Cd
1 1 2
Cartesian
0.0000 0.0000 0.0000 Sc
1.5511 2.1092 1.4894 Ta
0.0000 0.0000 3.0425 Cd
1.5511 2.1092 4.6597 Cd
```

***

Record 8
Structure and computed powder diffraction line list of PmSi2Se6 (a crystal structure in Alexandria, relaxed with PBE; Cu Ka).
Kinematic intensities with the Lorentz-polarization factor, no thermal factor.

Top 10 peaks for 2θ = 10–80°, in order of rising 2θ:
Position (°2θ), I (rel.)
10.3, 54
18.7, 45
21.9, 32
27.2, 30
29.0, 74
30.5, 38
31.1, 100
34.3, 44
41.8, 33
48.0, 48

Structure:
```
PmSi2Se6
1.0
6.9226 -5.7059 0.0000
6.9226 5.7059 0.0000
-2.3651 0.0000 6.6015
Pm Si Se
2 4 12
Cartesian
5.1488 4.0451 4.9511 Pm
6.3314 -4.0451 1.6504 Pm
2.1136 0.8951 5.0452 Si
3.2961 -0.8951 1.7445 Si
8.1840 0.8951 4.8570 Si
9.3666 -0.8951 1.5563 Si
-0.0864 0.8656 4.4512 Se
2.6240 2.9694 5.7895 Se
1.0962 -0.8656 1.1505 Se
3.7818 0.6725 3.4300 Se
7.6736 2.9694 4.1127 Se
4.9643 -0.6725 0.1293 Se
6.5158 0.6725 6.4722 Se
3.8066 -2.9694 2.4888 Se
7.6984 -0.6725 3.1715 Se
10.3840 0.8656 5.4510 Se
8.8561 -2.9694 0.8120 Se
11.5665 -0.8656 2.1503 Se
```

***

Record 9
Structure and computed powder diffraction line list of Al6Tl7 (a crystal structure in Alexandria, relaxed with PBE; Cu Ka).
Kinematic intensities with the Lorentz-polarization factor, no thermal factor.

Top 10 peaks for 2θ = 10–80°, in order of rising 2θ:
Position (°2θ), I (rel.)
15.8, 97
18.7, 86
19.9, 36
31.5, 71
31.9, 58
33.1, 71
35.1, 100
38.5, 85
55.7, 43
69.4, 36

Structure:
```
Al6Tl7
1.0
3.2991 1.9047 9.4905
-3.2991 1.9047 9.4905
0.0000 -3.8094 9.4905
Al Tl
6 7
Cartesian
0.0000 0.0000 1.3520 Al
0.0000 0.0000 4.1650 Al
0.0000 0.0000 9.5371 Al
0.0000 0.0000 18.9343 Al
0.0000 0.0000 24.3063 Al
0.0000 0.0000 27.1194 Al
-1.6952 -0.9787 11.8101 Tl
0.0000 -1.9575 16.6613 Tl
-1.6952 0.9787 16.6613 Tl
0.0000 0.0000 14.2357 Tl
1.6952 -0.9787 11.8101 Tl
0.0000 1.9575 11.8101 Tl
1.6952 0.9787 16.6613 Tl
```

***

Record 10
Structure and computed powder diffraction line list of K2Rb12Au7 (a crystal structure in Alexandria, relaxed with PBE; Cu Ka).
Kinematic intensities with the Lorentz-polarization factor, no thermal factor.

Top 10 peaks for 2θ = 10–80°, in order of rising 2θ:
Position (°2θ), I (rel.)
12.3, 32
16.9, 34
18.9, 38
19.8, 46
24.5, 100
25.9, 40
30.2, 80
31.0, 39
32.8, 46
35.1, 50

Structure:
```
K2Rb12Au7
1.0
14.3354 0.0000 0.0000
-7.1677 12.4149 0.0000
0.0000 0.0000 5.7697
K Rb Au
2 12 7
Cartesian
0.0000 8.2766 1.4779 K
7.1677 4.1383 4.2918 K
-2.0620 5.7428 4.3368 Rb
-4.4354 10.7330 1.4441 Rb
0.0904 3.2072 1.4441 Rb
2.8227 1.5254 4.3255 Rb
-1.1633 11.3292 4.3368 Rb
3.9424 4.6572 1.4328 Rb
3.2253 7.7577 4.3368 Rb
8.3310 1.0857 1.4328 Rb
4.3450 10.8895 1.4441 Rb
7.0774 9.2076 4.3255 Rb
11.6031 1.6819 4.3255 Rb
9.2297 6.6721 1.4328 Rb
0.0000 0.0000 2.8848 Au
-3.8101 8.7929 4.3113 Au
1.4580 4.7188 4.3113 Au
4.8155 1.0968 1.4584 Au
2.3522 11.3181 4.3113 Au
5.7098 7.6961 1.4584 Au
10.9779 3.6220 1.4584 Au
```

***

Record 11
Structure and computed powder diffraction line list of AcHoGa2Au5 (a crystal structure in Alexandria, relaxed with PBE; Cu Ka).
Kinematic intensities with the Lorentz-polarization factor, no thermal factor.

Top 10 peaks for 2θ = 10–80°, in order of rising 2θ:
Position (°2θ), I (rel.)
27.9, 10
33.5, 100
36.7, 52
42.9, 11
49.4, 6
52.9, 19
57.7, 19
64.1, 32
70.4, 10
72.7, 13

Structure:
```
AcHoGa2Au5
1.0
4.8952 0.0000 0.0000
0.0000 4.8952 0.0000
0.0000 0.0000 8.4268
Ac Ho Ga Au
1 1 2 5
Cartesian
0.0000 0.0000 0.0000 Ac
0.0000 0.0000 4.2134 Ho
2.4476 2.4476 2.9432 Ga
2.4476 2.4476 5.4836 Ga
0.0000 2.4476 2.2067 Au
0.0000 2.4476 6.2201 Au
2.4476 0.0000 2.2067 Au
2.4476 0.0000 6.2201 Au
2.4476 2.4476 0.0000 Au
```

***

Record 12
Structure and computed powder diffraction line list of CaSn2Pd8 (a crystal structure in Alexandria, relaxed with PBE; Cu Ka).
Kinematic intensities with the Lorentz-polarization factor, no thermal factor.

Top 10 peaks for 2θ = 10–80°, in order of rising 2θ:
Position (°2θ), I (rel.)
30.8, 34
35.8, 74
36.7, 100
37.2, 71
38.0, 47
40.1, 86
40.2, 46
41.0, 96
42.0, 39
44.8, 31

Structure:
```
CaSn2Pd8
1.0
3.7535 -6.1830 0.0000
3.7535 6.1830 0.0000
-2.3749 0.0000 4.2861
Ca Sn Pd
1 2 8
Cartesian
0.0000 0.0000 0.0000 Ca
2.5661 2.3493 2.1431 Sn
2.5661 -2.3493 2.1431 Sn
0.0616 1.4463 2.7153 Pd
3.7535 3.4021 0.0000 Pd
0.0616 -1.4463 2.7153 Pd
2.7101 0.0000 0.8041 Pd
2.4221 0.0000 3.4821 Pd
5.0705 1.4463 1.5708 Pd
3.7535 -3.4021 0.0000 Pd
5.0705 -1.4463 1.5708 Pd
```

***

Repeat the sixth record exactly.
Structure and computed powder diffraction line list of LiCdMo2 (a crystal structure in Alexandria, relaxed with PBE; Cu Ka).
Kinematic intensities with the Lorentz-polarization factor, no thermal factor.

Top 10 peaks for 2θ = 10–80°, in order of rising 2θ:
Position (°2θ), I (rel.)
18.7, 10
24.3, 20
27.9, 18
36.3, 11
37.9, 28
39.7, 100
45.6, 17
53.9, 10
60.8, 14
69.7, 18

Structure:
```
LiCdMo2
1.0
10.2869 0.0000 0.0000
0.0000 3.4011 0.0000
-1.5336 0.0000 3.6694
Li Cd Mo
2 2 4
Cartesian
0.0000 0.0000 0.0000 Li
5.1434 1.7005 0.0000 Li
-0.7668 1.7005 1.8347 Cd
4.3767 0.0000 1.8347 Cd
2.1424 1.7005 0.8919 Mo
1.4674 0.0000 2.7774 Mo
7.2859 0.0000 0.8919 Mo
6.6109 1.7005 2.7774 Mo
```